Pt2C3: calculated PXRD pattern (λ = 1.5418 Å (Cu Kα)), based on a cell relaxed with PBE.
Peak positions follow from Bragg's law for the DFT cell and can differ from measured ones.

Crystal structure
a = 10.2655 Å, b = 16.7193 Å, c = 3.0503 Å
α = 90.00°, β = 90.00°, γ = 90.00°
Space group Fdd2 (No. 43)
Inequivalent atoms, fractional coordinates:
Pt  0.0010  0.3203  0.0000
C  0.0000  0.0000  0.4491
C  0.0645  0.4320  0.9153

The 10 most intense peaks (10° ≤ 2θ ≤ 80°), by angle:
| index | 2θ (°) | I/Imax |
| --- | --- | --- |
| 2 2 0 | 20.30 | 100 |
| 1 1 1 | 31.05 | 28 |
| 1 3 1 | 34.64 | 72 |
| 4 0 0 | 34.96 | 42 |
| 2 6 0 | 36.70 | 54 |
| 1 5 1 | 41.00 | 34 |
| 3 3 1 | 42.91 | 38 |
| 0 8 0 | 43.29 | 20 |
| 3 5 1 | 48.36 | 21 |
| 5 3 1 | 56.50 | 19 |